Entry 1:
Diffraction record for UAg2Pt2S6. The powder X-ray diffraction pattern is calculated, not measured: it uses DFT lattice parameters and positions (PBE) and Cu Ka.
Neutral-atom scattering factors, no anomalous dispersion.

Peak list (10 most intense, 2θ = 5–70°, low angle first)
2θ (°)	I_rel
13.4	81
26.5	25
26.9	40
27.3	43
30.8	53
32.1	62
34.4	100
47.5	40
48.0	34
55.4	27

Cell and atoms:
```
data_UAg2Pt2S6
_chemical_formula_sum 'U1 Ag2 Pt2 S6'
_space_group_name_H-M_alt 'P 1'
_space_group_IT_number 1
_cell_length_a 6.138
_cell_length_b 6.138
_cell_length_c 6.962
_cell_angle_alpha 99.81
_cell_angle_beta 99.81
_cell_angle_gamma 112.09
loop_
_space_group_symop_operation_xyz
'x,y,z'
loop_
_atom_site_label
_atom_site_fract_x
_atom_site_fract_y
_atom_site_fract_z
U1 0.000 0.000 0.000
Ag1 0.150 0.850 0.500
Ag2 0.850 0.150 0.500
Pt1 0.325 0.675 0.000
Pt2 0.675 0.325 0.000
S1 0.017 0.368 0.247
S2 0.310 0.310 0.810
S3 0.368 0.017 0.247
S4 0.632 0.983 0.753
S5 0.690 0.690 0.190
S6 0.983 0.632 0.753
```

Entry 2:
Diffraction record for GaGeS4. The powder X-ray diffraction pattern is calculated, not measured: it uses DFT lattice parameters and positions (PBE) and Cu Ka.
Neutral-atom scattering factors, no anomalous dispersion.

Peak list (10 most intense, 2θ = 5–70°, low angle first)
2θ (°)	I_rel
18.8	83
29.8	100
32.3	23
38.3	29
46.9	15
47.5	25
50.6	41
57.0	28
62.6	17
69.4	8

Cell and atoms:
```
data_GaGeS4
_chemical_formula_sum 'Ga1 Ge1 S4'
_space_group_name_H-M_alt 'P 1'
_space_group_IT_number 1
_cell_length_a 6.167
_cell_length_b 6.167
_cell_length_c 6.167
_cell_angle_alpha 127.90
_cell_angle_beta 127.90
_cell_angle_gamma 76.79
loop_
_space_group_symop_operation_xyz
'x,y,z'
loop_
_atom_site_label
_atom_site_fract_x
_atom_site_fract_y
_atom_site_fract_z
Ga1 0.000 0.000 0.000
Ge1 0.750 0.250 0.500
S1 0.129 0.615 0.993
S2 0.385 0.377 0.514
S3 0.623 0.136 0.007
S4 0.864 0.871 0.486
```